The following is a calculated PXRD pattern of LiPbN. It was derived from a GGA-PBE-relaxed structure, using Cu Kα (weighted mean of Kα1 and Kα2).

Crystal structure
```
LiPbN
1.0
3.7109 0.0000 0.0000
-1.8555 3.2138 0.0000
0.0000 0.0000 4.4809
Li Pb N
1 1 1
direct
0.0000 0.0000 0.0000 Li
0.6667 0.3333 0.5000 Pb
0.6667 0.3333 0.0000 N
```

Peak list (12 most intense, 10° ≤ 2θ ≤ 80°, sorted by position)
two_theta	d (Å)	I (rel.)	(hkl)
19.81	4.481	53	0 0 1
27.76	3.214	100	1 0 0
34.34	2.612	93	1 0 1
40.25	2.240	13	0 0 2
49.10	1.855	23	1 1 0
49.60	1.838	41	1 0 2
53.45	1.714	26	1 1 1
57.34	1.607	13	2 0 0
61.28	1.513	19	2 0 1
65.29	1.429	19	1 1 2
69.38	1.354	13	1 0 3
72.37	1.306	13	2 0 2

***

The following is a calculated PXRD pattern of LiPbN. It was derived from a GGA-PBE-relaxed structure, using Cu Kα (weighted mean of Kα1 and Kα2).

Crystal structure
```
LiPbN
1.0
11.3673 0.0000 0.0000
0.0000 3.3634 0.0000
0.0000 0.0000 5.5707
Li Pb N
4 4 4
direct
0.0699 0.2500 0.0315 Li
0.4301 0.7500 0.5315 Li
0.5699 0.2500 0.4685 Li
0.9301 0.7500 0.9685 Li
0.1306 0.2500 0.4999 Pb
0.3694 0.7500 0.9999 Pb
0.6306 0.2500 0.0001 Pb
0.8694 0.7500 0.5001 Pb
0.0436 0.7500 0.2561 N
0.4564 0.2500 0.7561 N
0.5436 0.7500 0.2439 N
0.9564 0.2500 0.7439 N
```

Peak list (12 most intense, 10° ≤ 2θ ≤ 80°, sorted by position)
two_theta	d (Å)	I (rel.)	(hkl)
17.73	5.002	100	1 0 1
28.49	3.133	46	3 0 1
30.89	2.895	59	2 1 0
31.48	2.842	27	4 0 0
32.09	2.789	83	0 0 2
39.30	2.293	24	3 1 1
45.18	2.007	49	2 1 2
45.60	1.989	23	4 0 2
51.20	1.784	22	5 1 1
55.68	1.651	13	6 1 0
57.25	1.609	12	1 1 3
65.75	1.420	16	6 1 2